Entry 1:
Simulated powder XRD pattern
Compound: LiCaMg6
Radiation: Cu Kα (weighted mean of Kα1 and Kα2)
Structure: a crystal structure in the Materials Project, relaxed with GGA-PBE
Lines closer than 0.1° are merged.

Main lines, by angle (2θ = 10–90°):
| hkl | 2theta | d [Å] | I_rel |
| --- | --- | --- | --- |
| 1 1 1 | 23.01 | 3.865 | 18 |
| 0 2 2 | 31.55 | 2.836 | 25 |
| 2 0 0 | 33.96 | 2.640 | 40 |
| 1 0 4 | 35.45 | 2.532 | 54 |
| 1 2 2 | 35.95 | 2.498 | 100 |
| 0 2 6 | 55.47 | 1.657 | 18 |
| 3 2 2 | 62.07 | 1.495 | 19 |
| 2 2 6 | 66.65 | 1.403 | 20 |

Structure:
```
data_LiCaMg6
_cell_length_a 5.280
_cell_length_b 6.512
_cell_length_c 11.545
_cell_angle_alpha 90.00
_cell_angle_beta 90.00
_cell_angle_gamma 90.00
_symmetry_space_group_name_H-M 'A m m 2'
_symmetry_Int_Tables_number 38
loop_
_symmetry_equiv_pos_as_xyz
'x,y,z'
'-x,-y,z'
'-x,y,z'
'x,-y,z'
'x,y+1/2,z+1/2'
'-x,-y+1/2,z+1/2'
'-x,y+1/2,z+1/2'
'x,-y+1/2,z+1/2'
loop_
_atom_site_label
_atom_site_fract_x
_atom_site_fract_y
_atom_site_fract_z
_atom_site_occupancy
Li1 0.000 0.000 0.000 1
Ca1 0.000 0.000 0.502 1
Mg1 0.000 0.247 0.753 1
Mg2 0.500 0.000 0.166 1
Mg3 0.500 0.000 0.671 1
Mg4 0.500 0.243 0.916 1
```

Entry 2:
Simulated powder XRD pattern
Compound: LiCaMg14
Radiation: Cu Kα (weighted mean of Kα1 and Kα2)
Structure: a crystal structure in the Materials Project, relaxed with GGA-PBE
Lines closer than 0.1° are merged.

Main lines, by angle (2θ = 10–90°):
| hkl | 2theta | d [Å] | I_rel |
| --- | --- | --- | --- |
| 0 2 2 | 32.02 | 2.795 | 25 |
| 4 0 0 | 34.36 | 2.610 | 40 |
| 2 0 4 | 36.24 | 2.479 | 52 |
| 2 2 2 | 36.47 | 2.464 | 100 |
| 4 2 2 | 47.68 | 1.908 | 16 |
| 0 2 6 | 56.76 | 1.622 | 18 |
| 6 2 2 | 62.92 | 1.477 | 18 |
| 4 2 6 | 68.06 | 1.378 | 19 |

Structure:
```
data_LiCaMg14
_cell_length_a 10.440
_cell_length_b 6.438
_cell_length_c 11.265
_cell_angle_alpha 90.00
_cell_angle_beta 90.00
_cell_angle_gamma 90.00
_symmetry_space_group_name_H-M 'A m m 2'
_symmetry_Int_Tables_number 38
loop_
_symmetry_equiv_pos_as_xyz
'x,y,z'
'-x,-y,z'
'-x,y,z'
'x,-y,z'
'x,y+1/2,z+1/2'
'-x,-y+1/2,z+1/2'
'-x,y+1/2,z+1/2'
'x,-y+1/2,z+1/2'
loop_
_atom_site_label
_atom_site_fract_x
_atom_site_fract_y
_atom_site_fract_z
_atom_site_occupancy
Li1 0.000 0.000 0.000 1
Ca1 0.000 0.000 0.503 1
Mg1 0.000 0.246 0.754 1
Mg2 0.245 0.000 0.168 1
Mg3 0.257 0.000 0.671 1
Mg4 0.257 0.247 0.917 1
Mg5 0.500 0.000 0.002 1
Mg6 0.500 0.000 0.502 1
Mg7 0.500 0.250 0.252 1
```

Entry 3:
Simulated powder XRD pattern
Compound: Li4Ca2MgSi2N6
Radiation: Cu Kα (weighted mean of Kα1 and Kα2)
Structure: a crystal structure in the Materials Project, relaxed with GGA-PBE
Lines closer than 0.1° are merged.

Main lines, by angle (2θ = 10–90°):
| hkl | 2theta | d [Å] | I_rel |
| --- | --- | --- | --- |
| 1 1 -1 | 22.75 | 3.908 | 48 |
| 0 2 1 | 24.05 | 3.700 | 62 |
| 2 0 -1 | 33.02 | 2.712 | 73 |
| 1 3 -1 | 34.54 | 2.597 | 80 |
| 1 3 1 | 35.77 | 2.510 | 100 |
| 2 0 -2 | 42.44 | 2.130 | 46 |
| 1 3 2 | 46.18 | 1.966 | 79 |
| 3 3 0 | 54.37 | 1.687 | 70 |

Structure:
```
data_Li4Ca2MgSi2N6
_cell_length_a 5.928
_cell_length_b 9.826
_cell_length_c 5.643
_cell_angle_alpha 90.00
_cell_angle_beta 94.94
_cell_angle_gamma 90.00
_symmetry_space_group_name_H-M 'C 1 2/m 1'
_symmetry_Int_Tables_number 12
loop_
_symmetry_equiv_pos_as_xyz
'x,y,z'
'-x,-y,-z'
'-x,y,-z'
'x,-y,z'
'x+1/2,y+1/2,z'
'-x+1/2,-y+1/2,-z'
'-x+1/2,y+1/2,-z'
'x+1/2,-y+1/2,z'
loop_
_atom_site_label
_atom_site_fract_x
_atom_site_fract_y
_atom_site_fract_z
_atom_site_occupancy
Li1 0.161 0.171 0.125 1
Ca1 0.000 0.322 0.500 1
Mg1 0.000 0.000 0.500 1
Si1 0.178 0.500 0.133 1
N1 0.122 0.500 0.813 1
N2 0.178 0.145 0.752 1
```

Entry 4:
Simulated powder XRD pattern
Compound: Li2CaMn2N2
Radiation: Cu Kα (weighted mean of Kα1 and Kα2)
Structure: a crystal structure in the Materials Project, relaxed with GGA-PBE
Lines closer than 0.1° are merged.

Main lines, by angle (2θ = 10–90°):
| hkl | 2theta | d [Å] | I_rel |
| --- | --- | --- | --- |
| 2 1 0 | 28.31 | 3.152 | 100 |
| 1 1 1 | 29.85 | 2.994 | 28 |
| 2 0 1 | 34.96 | 2.566 | 54 |
| 2 2 0 | 36.04 | 2.492 | 24 |
| 2 1 1 | 37.29 | 2.411 | 49 |
| 3 1 0 | 40.47 | 2.229 | 47 |
| 4 1 0 | 53.61 | 1.709 | 23 |
| 2 1 2 | 57.23 | 1.610 | 22 |

Structure:
```
data_Li2CaMn2N2
_cell_length_a 7.048
_cell_length_b 7.048
_cell_length_c 3.744
_cell_angle_alpha 90.00
_cell_angle_beta 90.00
_cell_angle_gamma 90.00
_symmetry_space_group_name_H-M 'P 4/m b m'
_symmetry_Int_Tables_number 127
_symmetry_space_group_name_Hall '-P 4 2ab'
loop_
_atom_site_label
_atom_site_fract_x
_atom_site_fract_y
_atom_site_fract_z
_atom_site_occupancy
Li1 0.116 0.384 0.000 1
Ca1 0.000 0.000 0.000 1
Mn1 0.175 0.675 0.500 1
N1 0.176 0.676 0.000 1
```

Entry 5:
Simulated powder XRD pattern
Compound: LiCaN
Radiation: Cu Kα (weighted mean of Kα1 and Kα2)
Structure: a crystal structure in the Materials Project, relaxed with GGA-PBE
Lines closer than 0.1° are merged.

Main lines, by angle (2θ = 10–90°):
| hkl | 2theta | d [Å] | I_rel |
| --- | --- | --- | --- |
| 1 0 1 | 19.09 | 4.650 | 50 |
| 0 1 1 | 29.14 | 3.064 | 19 |
| 1 1 1 | 31.02 | 2.883 | 100 |
| 2 1 0 | 32.21 | 2.779 | 50 |
| 3 0 1 | 35.55 | 2.525 | 56 |
| 2 1 2 | 46.21 | 1.965 | 66 |
| 0 2 0 | 49.58 | 1.839 | 31 |
| 5 1 1 | 62.48 | 1.487 | 39 |

Structure:
```
data_LiCaN
_cell_length_a 8.506
_cell_length_b 3.675
_cell_length_c 5.553
_cell_angle_alpha 90.00
_cell_angle_beta 90.00
_cell_angle_gamma 90.00
_symmetry_space_group_name_H-M 'P n m a'
_symmetry_Int_Tables_number 62
loop_
_symmetry_equiv_pos_as_xyz
'x,y,z'
'-x,-y,-z'
'-x+1/2,-y,z+1/2'
'x+1/2,y,-z+1/2'
'x+1/2,-y+1/2,-z+1/2'
'-x+1/2,y+1/2,z+1/2'
'-x,y+1/2,-z'
'x,-y+1/2,z'
loop_
_atom_site_label
_atom_site_fract_x
_atom_site_fract_y
_atom_site_fract_z
_atom_site_occupancy
Li1 0.048 0.250 0.075 1
Ca1 0.156 0.250 0.527 1
N1 0.093 0.750 0.241 1
```

Entry 6:
Simulated powder XRD pattern
Compound: LiCa3Si2N5
Radiation: Cu Kα (weighted mean of Kα1 and Kα2)
Structure: a crystal structure in the Materials Project, relaxed with GGA-PBE
Lines closer than 0.1° are merged.

Main lines, by angle (2θ = 10–90°):
| hkl | 2theta | d [Å] | I_rel |
| --- | --- | --- | --- |
| 1 5 2 | 32.89 | 2.723 | 79 |
| 1 3 -3 | 33.47 | 2.677 | 54 |
| 0 0 4 | 34.43 | 2.605 | 44 |
| 2 0 0 | 34.63 | 2.591 | 100 |
| 0 8 1 | 36.06 | 2.490 | 56 |
| 0 2 5 | 44.36 | 2.042 | 30 |
| 2 8 -1 | 50.74 | 1.799 | 28 |
| 0 8 5 | 56.93 | 1.617 | 29 |

Structure:
```
data_LiCa3Si2N5
_cell_length_a 5.182
_cell_length_b 20.518
_cell_length_c 10.420
_cell_angle_alpha 90.00
_cell_angle_beta 91.06
_cell_angle_gamma 90.00
_symmetry_space_group_name_H-M 'C 1 2/c 1'
_symmetry_Int_Tables_number 15
loop_
_symmetry_equiv_pos_as_xyz
'x,y,z'
'-x,-y,-z'
'-x,y,-z+1/2'
'x,-y,z+1/2'
'x+1/2,y+1/2,z'
'-x+1/2,-y+1/2,-z'
'-x+1/2,y+1/2,-z+1/2'
'x+1/2,-y+1/2,z+1/2'
loop_
_atom_site_label
_atom_site_fract_x
_atom_site_fract_y
_atom_site_fract_z
_atom_site_occupancy
Li1 0.000 0.128 0.250 1
Li2 0.000 0.345 0.750 1
Ca1 0.246 0.285 0.146 1
Ca2 0.247 0.090 0.645 1
Ca3 0.249 0.481 0.632 1
Si1 0.190 0.196 0.452 1
Si2 0.203 0.395 0.962 1
N1 0.126 0.372 0.577 1
N2 0.128 0.176 0.088 1
N3 0.228 0.226 0.617 1
N4 0.233 0.033 0.123 1
N5 0.236 0.402 0.130 1
```

Q: What is the formula in the second record?
A: LiCaMg14